# 1
Ho2TmPb9: theoretical XRD peak list (λ = 1.5418 Å (Cu Kα)), based on a PBE-relaxed structure.

Atomic structure:
a b c (Å): 4.8694 4.8694 14.6014
angles (deg): 90.00 90.00 90.00
Element x y z (fractional)
Ho: 0.0000 0.0000 0.1666
Ho: 0.0000 0.0000 0.8334
Tm: 0.0000 0.0000 0.5000
Pb: 0.0000 0.5000 0.0000
Pb: 0.0000 0.5000 0.3341
Pb: 0.0000 0.5000 0.6659
Pb: 0.5000 0.0000 0.0000
Pb: 0.5000 0.0000 0.3341
Pb: 0.5000 0.0000 0.6659
Pb: 0.5000 0.5000 0.1671
Pb: 0.5000 0.5000 0.5000
Pb: 0.5000 0.5000 0.8329

Largest 9 diffraction maxima, low angle first, 15° ≤ 2θ ≤ 90°:
- 18.22°, rel. 0.7
- 25.88°, rel. 0.6
- 31.84°, rel. 100.0
- 36.93°, rel. 50.8
- 53.21°, rel. 36.2
- 63.36°, rel. 43.3
- 66.53°, rel. 12.5
- 78.60°, rel. 6.0
- 87.29°, rel. 19.2

=====

# 2
CeNdDy14: theoretical XRD peak list (λ = 1.5418 Å (Cu Kα)), based on a PBE-relaxed structure.

Atomic structure:
a b c (Å): 7.1036 7.1036 10.0438
angles (deg): 90.00 90.00 90.00
Element x y z (fractional)
Ce: 0.0000 0.0000 0.0000
Nd: 0.5000 0.5000 0.0000
Dy: 0.0000 0.0000 0.5000
Dy: 0.0000 0.5000 0.0000
Dy: 0.0000 0.5000 0.5000
Dy: 0.2483 0.2483 0.2511
Dy: 0.2483 0.2483 0.7489
Dy: 0.2483 0.7517 0.2511
Dy: 0.2483 0.7517 0.7489
Dy: 0.5000 0.0000 0.0000
Dy: 0.5000 0.0000 0.5000
Dy: 0.5000 0.5000 0.5000
Dy: 0.7517 0.2483 0.2511
Dy: 0.7517 0.2483 0.7489
Dy: 0.7517 0.7517 0.2511
Dy: 0.7517 0.7517 0.7489

Largest 8 diffraction maxima, low angle first, 15° ≤ 2θ ≤ 90°:
- 30.84°, rel. 100.0
- 35.75°, rel. 50.6
- 51.46°, rel. 36.0
- 61.20°, rel. 42.8
- 64.24°, rel. 12.3
- 75.75°, rel. 5.7
- 83.99°, rel. 17.8
- 86.70°, rel. 16.6

=====

# 3
Cs6K3As: theoretical XRD peak list (λ = 1.5418 Å (Cu Kα)), based on a PBE-relaxed structure.

Atomic structure:
a b c (Å): 12.2457 12.2457 12.2457
angles (deg): 77.65 77.65 77.65
Element x y z (fractional)
Cs: 0.1359 0.8153 0.8153
Cs: 0.1847 0.1847 0.8641
Cs: 0.1847 0.8641 0.1847
Cs: 0.2046 0.5228 0.5228
Cs: 0.4772 0.4772 0.7954
Cs: 0.4772 0.7954 0.4772
Cs: 0.5228 0.2046 0.5228
Cs: 0.5228 0.5228 0.2046
Cs: 0.7954 0.4772 0.4772
Cs: 0.8153 0.1359 0.8153
Cs: 0.8153 0.8153 0.1359
Cs: 0.8641 0.1847 0.1847
K: 0.1367 0.1367 0.4539
K: 0.1367 0.4539 0.1367
K: 0.4539 0.1367 0.1367
K: 0.5461 0.8633 0.8633
K: 0.8633 0.5461 0.8633
K: 0.8633 0.8633 0.5461
As: 0.0000 0.0000 0.0000
As: 0.5000 0.5000 0.5000

Largest 12 diffraction maxima, low angle first, 15° ≤ 2θ ≤ 90°:
- 20.03°, rel. 14.9
- 21.03°, rel. 21.4
- 22.65°, rel. 100.0
- 29.20°, rel. 23.0
- 35.07°, rel. 23.7
- 37.85°, rel. 24.0
- 41.25°, rel. 20.2
- 42.15°, rel. 17.3
- 52.55°, rel. 8.5
- 55.95°, rel. 14.4
- 56.49°, rel. 10.6
- 64.75°, rel. 8.6

=====

# 4
La4Dy3Se8: theoretical XRD peak list (λ = 1.5418 Å (Cu Kα)), based on a PBE-relaxed structure.

Atomic structure:
a b c (Å): 9.1392 9.1392 9.1392
angles (deg): 53.28 53.28 53.28
Element x y z (fractional)
La: 0.0000 0.0000 0.0000
La: 0.1480 0.1480 0.1480
La: 0.5000 0.5000 0.5000
La: 0.8520 0.8520 0.8520
Dy: 0.0000 0.5000 0.5000
Dy: 0.5000 0.0000 0.5000
Dy: 0.5000 0.5000 0.0000
Se: 0.2500 0.2500 0.7333
Se: 0.2500 0.7333 0.2500
Se: 0.2667 0.7500 0.7500
Se: 0.2702 0.2702 0.2702
Se: 0.7298 0.7298 0.7298
Se: 0.7333 0.2500 0.2500
Se: 0.7500 0.2667 0.7500
Se: 0.7500 0.7500 0.2667

Largest 12 diffraction maxima, low angle first, 15° ≤ 2θ ≤ 90°:
- 21.69°, rel. 24.3
- 24.53°, rel. 33.0
- 25.38°, rel. 39.8
- 29.42°, rel. 100.0
- 31.63°, rel. 21.1
- 36.89°, rel. 40.9
- 39.87°, rel. 74.4
- 44.21°, rel. 67.1
- 54.00°, rel. 18.4
- 61.03°, rel. 23.7
- 66.06°, rel. 22.4
- 78.40°, rel. 17.5